MgPa2Se6: simulated powder XRD pattern (a wavelength of 1.5418 Å), based on DFT lattice parameters and positions (GGA-PBE).

Top 10 peaks for 10° ≤ 2θ ≤ 90°, low angle first:
2θ/deg  intensity
15.41  54
18.78  100
24.03  47
26.20  43
29.36  63
29.56  30
37.38  35
37.94  90
38.10  47
46.05  47

Structural model:
a b c (Å): 6.8092 6.5606 13.7289
angles (deg): 90.00 119.69 90.00
Fractional coordinates of all 18 atoms:
Mg  0.0000  0.0000  0.0000
Mg  0.0000  0.5000  0.5000
Pa  0.3241  0.0007  0.8237
Pa  0.3241  0.4993  0.3237
Pa  0.6759  0.5007  0.6763
Pa  0.6759  0.9993  0.1763
Se  0.0080  0.7481  0.3372
Se  0.0080  0.7519  0.8372
Se  0.3327  0.7500  0.1621
Se  0.3327  0.7500  0.6621
Se  0.3384  0.2237  0.0003
Se  0.3384  0.2763  0.5003
Se  0.6616  0.7237  0.4997
Se  0.6616  0.7763  0.9997
Se  0.6673  0.2500  0.3379
Se  0.6673  0.2500  0.8379
Se  0.9920  0.2481  0.1628
Se  0.9920  0.2519  0.6628